Simulated PXRD pattern of BaAl2O4 for Cu Kα (λ = 1.5418 Å), from DFT lattice parameters and positions (GGA-PBE).
Intensities are scaled so that the largest is 100.

Structural model:
```
BaAl2O4
1.0
10.5838 0.0000 0.0000
-5.2919 9.1659 0.0000
0.0000 0.0000 8.8723
Ba Al O
8 16 32
Direct
0.0000 0.0000 0.0000 Ba
0.0000 0.0000 0.5000 Ba
0.0080 0.5074 0.4900 Ba
0.4926 0.5007 0.4900 Ba
0.4993 0.9920 0.4900 Ba
0.5007 0.0080 0.9900 Ba
0.5074 0.4993 0.9900 Ba
0.9920 0.4926 0.9900 Ba
0.1535 0.8253 0.7969 Al
0.1548 0.8239 0.1835 Al
0.1747 0.3282 0.7969 Al
0.1761 0.3309 0.1835 Al
0.3282 0.1535 0.2969 Al
0.3309 0.1548 0.6835 Al
0.3333 0.6667 0.3001 Al
0.3333 0.6667 0.7013 Al
0.6667 0.3333 0.2013 Al
0.6667 0.3333 0.8001 Al
0.6691 0.8452 0.1835 Al
0.6718 0.8465 0.7969 Al
0.8239 0.6691 0.6835 Al
0.8253 0.6718 0.2969 Al
0.8452 0.1761 0.6835 Al
0.8465 0.1747 0.2969 Al
0.0007 0.3130 0.2006 O
0.0026 0.8214 0.2676 O
0.1107 0.7889 0.9902 O
0.1786 0.1812 0.2676 O
0.1802 0.6795 0.2458 O
0.1812 0.0026 0.7676 O
0.1830 0.4973 0.7582 O
0.2111 0.3218 0.9902 O
0.3123 0.9993 0.2006 O
0.3130 0.3123 0.7006 O
0.3143 0.8170 0.7582 O
0.3205 0.5007 0.2458 O
0.3218 0.1107 0.4902 O
0.3333 0.6667 0.5008 O
0.4973 0.3143 0.2582 O
0.4993 0.8198 0.2458 O
0.5007 0.1802 0.7458 O
0.5027 0.6857 0.7582 O
0.6667 0.3333 0.0008 O
0.6782 0.8893 0.9902 O
0.6795 0.4993 0.7458 O
0.6857 0.1830 0.2582 O
0.6870 0.6877 0.2006 O
0.6877 0.0007 0.7006 O
0.7889 0.6782 0.4902 O
0.8170 0.5027 0.2582 O
0.8188 0.9974 0.2676 O
0.8198 0.3205 0.7458 O
0.8214 0.8188 0.7676 O
0.8893 0.2111 0.4902 O
0.9974 0.1786 0.7676 O
0.9993 0.6870 0.7006 O
```

The 10 most intense peaks (10 to 90 degrees two-theta), low angle first:
19.37 deg, intensity 43; 27.99 deg, intensity 100; 33.88 deg, intensity 40; 39.66 deg, intensity 26; 44.50 deg, intensity 23; 45.43 deg, intensity 15; 53.94 deg, intensity 13; 57.08 deg, intensity 25; 60.62 deg, intensity 12; 78.24 deg, intensity 12

***

Simulated PXRD pattern of BaAl4O7 for Cu Kα (λ = 1.5418 Å), from DFT lattice parameters and positions (GGA-PBE).
Intensities are scaled so that the largest is 100.

Structural model:
```
BaAl4O7
1.0
13.0278 0.0000 0.0000
0.0000 5.2311 0.0000
0.0000 0.0000 4.9807
Ba Al O
2 8 14
Direct
0.0000 0.1658 0.0000 Ba
0.5000 0.8342 0.5000 Ba
0.1194 0.6782 0.4679 Al
0.2495 0.1755 0.4566 Al
0.2505 0.8245 0.9566 Al
0.3806 0.3218 0.9679 Al
0.6194 0.3218 0.9679 Al
0.7505 0.1755 0.4566 Al
0.7495 0.8245 0.9566 Al
0.8806 0.6782 0.4679 Al
0.0000 0.7868 0.3546 O
0.1331 0.7435 0.8116 O
0.1382 0.3528 0.3971 O
0.2205 0.8665 0.3080 O
0.2795 0.1335 0.8080 O
0.3618 0.6472 0.8971 O
0.3669 0.2565 0.3116 O
0.5000 0.2132 0.8546 O
0.6331 0.2565 0.3116 O
0.6382 0.6472 0.8971 O
0.7205 0.1335 0.8080 O
0.7795 0.8665 0.3080 O
0.8618 0.3528 0.3971 O
0.8669 0.7435 0.8116 O
```

The 10 most intense peaks (10 to 90 degrees two-theta), low angle first:
19.08 deg, intensity 22; 24.68 deg, intensity 24; 25.62 deg, intensity 36; 26.68 deg, intensity 42; 27.25 deg, intensity 58; 28.28 deg, intensity 100; 32.38 deg, intensity 29; 36.07 deg, intensity 24; 41.38 deg, intensity 25; 60.18 deg, intensity 29

***

Simulated PXRD pattern of BaAl4O7 for Cu Kα (λ = 1.5418 Å), from DFT lattice parameters and positions (GGA-PBE).
Intensities are scaled so that the largest is 100.

Structural model:
```
BaAl4O7
1.0
10.4097 0.0000 0.0000
0.0000 13.1865 0.0000
0.0000 0.0000 4.9963
Ba Al O
4 16 28
Direct
0.1777 0.2500 0.2038 Ba
0.3223 0.7500 0.7038 Ba
0.6777 0.2500 0.2962 Ba
0.8223 0.7500 0.7962 Ba
0.0925 0.6311 0.2815 Al
0.0925 0.8689 0.2815 Al
0.1574 0.0016 0.7913 Al
0.1574 0.4984 0.7913 Al
0.3426 0.5016 0.2913 Al
0.3426 0.9984 0.2913 Al
0.4075 0.1311 0.7815 Al
0.4075 0.3689 0.7815 Al
0.5925 0.6311 0.2185 Al
0.5925 0.8689 0.2185 Al
0.6574 0.0016 0.7087 Al
0.6574 0.4984 0.7087 Al
0.8426 0.5016 0.2087 Al
0.8426 0.9984 0.2087 Al
0.9075 0.1311 0.7185 Al
0.9075 0.3689 0.7185 Al
0.0668 0.1127 0.8186 O
0.0668 0.3873 0.8186 O
0.1131 0.6105 0.6275 O
0.1131 0.8895 0.6275 O
0.1578 0.7500 0.2047 O
0.1957 0.5377 0.1256 O
0.1957 0.9623 0.1256 O
0.3043 0.0377 0.6256 O
0.3043 0.4623 0.6256 O
0.3422 0.2500 0.7047 O
0.3869 0.1105 0.1275 O
0.3869 0.3895 0.1275 O
0.4332 0.6127 0.3186 O
0.4332 0.8873 0.3186 O
0.5668 0.1127 0.6814 O
0.5668 0.3873 0.6814 O
0.6131 0.6105 0.8725 O
0.6131 0.8895 0.8725 O
0.6578 0.7500 0.2953 O
0.6957 0.5377 0.3744 O
0.6957 0.9623 0.3744 O
0.8043 0.0377 0.8744 O
0.8043 0.4623 0.8744 O
0.8422 0.2500 0.7953 O
0.8869 0.1105 0.3725 O
0.8869 0.3895 0.3725 O
0.9332 0.6127 0.1814 O
0.9332 0.8873 0.1814 O
```

The 10 most intense peaks (10 to 90 degrees two-theta), low angle first:
17.04 deg, intensity 24; 25.62 deg, intensity 43; 26.54 deg, intensity 44; 27.02 deg, intensity 70; 28.22 deg, intensity 100; 32.14 deg, intensity 51; 35.95 deg, intensity 30; 38.59 deg, intensity 20; 41.45 deg, intensity 27; 60.28 deg, intensity 18

***

Simulated PXRD pattern of BaAl3P2O14 for Cu Kα (λ = 1.5418 Å), from DFT lattice parameters and positions (GGA-PBE).
Intensities are scaled so that the largest is 100.

Structural model:
```
BaAl3P2O14
1.0
3.5204 2.0325 6.2656
-3.5204 2.0325 6.2656
0.0000 -4.0650 6.2656
Ba Al P O
1 3 2 14
Direct
0.0000 0.0000 0.0000 Ba
0.0000 0.0000 0.5000 Al
0.0000 0.5000 0.0000 Al
0.5000 0.0000 0.0000 Al
0.2961 0.2961 0.2961 P
0.7039 0.7039 0.7039 P
0.0842 0.7461 0.7461 O
0.1476 0.1476 0.5063 O
0.1476 0.5063 0.1476 O
0.2539 0.2539 0.9158 O
0.2539 0.9158 0.2539 O
0.3775 0.3775 0.3775 O
0.4937 0.8524 0.8524 O
0.5063 0.1476 0.1476 O
0.6225 0.6225 0.6225 O
0.7461 0.0842 0.7461 O
0.7461 0.7461 0.0842 O
0.8524 0.4937 0.8524 O
0.8524 0.8524 0.4937 O
0.9158 0.2539 0.2539 O
```

The 10 most intense peaks (10 to 90 degrees two-theta), low angle first:
15.28 deg, intensity 100; 23.91 deg, intensity 15; 25.30 deg, intensity 49; 29.10 deg, intensity 97; 36.56 deg, intensity 37; 40.29 deg, intensity 17; 47.00 deg, intensity 36; 51.95 deg, intensity 18; 57.61 deg, intensity 18; 72.64 deg, intensity 13

***

Simulated PXRD pattern of Ba2Al2PbO6 for Cu Kα (λ = 1.5418 Å), from DFT lattice parameters and positions (GGA-PBE).
Intensities are scaled so that the largest is 100.

Structural model:
```
Ba2Al2PbO6
1.0
3.0267 1.7474 6.4645
-3.0267 1.7474 6.4645
0.0000 -3.4949 6.4645
Ba Al Pb O
2 2 1 6
Direct
0.2015 0.2015 0.2015 Ba
0.7985 0.7985 0.7985 Ba
0.4244 0.4244 0.4244 Al
0.5756 0.5756 0.5756 Al
0.0000 0.0000 0.0000 Pb
0.2465 0.7363 0.7363 O
0.2637 0.2637 0.7535 O
0.2637 0.7535 0.2637 O
0.7363 0.2465 0.7363 O
0.7363 0.7363 0.2465 O
0.7535 0.2637 0.2637 O
```

The 10 most intense peaks (10 to 90 degrees two-theta), low angle first:
17.52 deg, intensity 65; 25.02 deg, intensity 33; 28.63 deg, intensity 100; 29.51 deg, intensity 89; 39.07 deg, intensity 24; 40.85 deg, intensity 20; 41.58 deg, intensity 42; 50.15 deg, intensity 21; 51.81 deg, intensity 38; 52.36 deg, intensity 18

***

Simulated PXRD pattern of BaPuAlO5 for Cu Kα (λ = 1.5418 Å), from DFT lattice parameters and positions (GGA-PBE).
Intensities are scaled so that the largest is 100.

Structural model:
```
BaPuAlO5
1.0
3.6409 -4.8846 0.0000
3.6409 4.8846 0.0000
-3.1819 0.0000 7.2250
Ba Pu Al O
2 2 2 10
Direct
0.1639 0.8361 0.7500 Ba
0.8361 0.1639 0.2500 Ba
0.5000 0.5000 0.0000 Pu
0.5000 0.5000 0.5000 Pu
0.1888 0.8112 0.2500 Al
0.8112 0.1888 0.7500 Al
0.1192 0.2642 0.8951 O
0.2049 0.6171 0.3894 O
0.2642 0.1192 0.3951 O
0.3829 0.7951 0.1106 O
0.4333 0.5667 0.7500 O
0.5667 0.4333 0.2500 O
0.6171 0.2049 0.8894 O
0.7358 0.8808 0.6049 O
0.7951 0.3829 0.6106 O
0.8808 0.7358 0.1049 O
```

The 10 most intense peaks (10 to 90 degrees two-theta), low angle first:
16.10 deg, intensity 67; 24.57 deg, intensity 100; 26.75 deg, intensity 59; 30.55 deg, intensity 73; 30.78 deg, intensity 48; 33.73 deg, intensity 27; 33.91 deg, intensity 28; 39.20 deg, intensity 24; 49.68 deg, intensity 22; 58.53 deg, intensity 23

***

Simulated PXRD pattern of Ba3PuAl2O9 for Cu Kα (λ = 1.5418 Å), from DFT lattice parameters and positions (GGA-PBE).
Intensities are scaled so that the largest is 100.

Structural model:
```
Ba3PuAl2O9
1.0
5.7344 0.0000 0.0000
-2.8672 4.9661 0.0000
0.0000 0.0000 7.0964
Ba Pu Al O
3 1 2 9
Direct
0.0000 0.0000 0.0000 Ba
0.3333 0.6667 0.6809 Ba
0.6667 0.3333 0.3191 Ba
0.0000 0.0000 0.5000 Pu
0.3333 0.6667 0.1384 Al
0.6667 0.3333 0.8616 Al
0.0000 0.5000 0.0000 O
0.1711 0.3422 0.3278 O
0.1711 0.8289 0.3278 O
0.3422 0.1711 0.6722 O
0.5000 0.0000 0.0000 O
0.5000 0.5000 0.0000 O
0.6578 0.8289 0.3278 O
0.8289 0.1711 0.6722 O
0.8289 0.6578 0.6722 O
```

The 10 most intense peaks (10 to 90 degrees two-theta), low angle first:
12.47 deg, intensity 17; 17.86 deg, intensity 34; 21.84 deg, intensity 29; 30.98 deg, intensity 100; 31.19 deg, intensity 88; 44.54 deg, intensity 60; 54.96 deg, intensity 18; 55.37 deg, intensity 40; 55.51 deg, intensity 18; 73.80 deg, intensity 18

***

Simulated PXRD pattern of Ba2AlSb3O8 for Cu Kα (λ = 1.5418 Å), from DFT lattice parameters and positions (GGA-PBE).
Intensities are scaled so that the largest is 100.

Structural model:
```
Ba2AlSb3O8
1.0
4.2685 0.0000 0.0000
0.0000 4.2685 0.0000
0.0000 0.0000 11.8875
Ba Al Sb O
2 1 3 8
Direct
0.0000 0.0000 0.1792 Ba
0.0000 0.0000 0.8208 Ba
0.0000 0.0000 0.5000 Al
0.5000 0.5000 0.0000 Sb
0.5000 0.5000 0.3557 Sb
0.5000 0.5000 0.6443 Sb
0.0000 0.5000 0.0000 O
0.0000 0.5000 0.3413 O
0.0000 0.5000 0.6587 O
0.5000 0.0000 0.0000 O
0.5000 0.0000 0.3413 O
0.5000 0.0000 0.6587 O
0.5000 0.5000 0.1801 O
0.5000 0.5000 0.8199 O
```

The 10 most intense peaks (10 to 90 degrees two-theta), low angle first:
25.69 deg, intensity 14; 29.60 deg, intensity 54; 30.79 deg, intensity 100; 42.35 deg, intensity 36; 45.80 deg, intensity 10; 53.27 deg, intensity 43; 55.48 deg, intensity 13; 61.44 deg, intensity 11; 64.14 deg, intensity 14; 85.63 deg, intensity 11

***

Simulated PXRD pattern of BaAl4Sb2O12 for Cu Kα (λ = 1.5418 Å), from DFT lattice parameters and positions (GGA-PBE).
Intensities are scaled so that the largest is 100.

Structural model:
```
BaAl4Sb2O12
1.0
-4.9972 4.9972 4.4423
4.9972 -4.9972 4.4423
4.9972 4.9972 -4.4423
Ba Al Sb O
2 8 4 24
Direct
0.2177 0.2177 0.0000 Ba
0.7823 0.7823 0.0000 Ba
0.0156 0.8312 0.5159 Al
0.1688 0.6846 0.1843 Al
0.3154 0.4997 0.4841 Al
0.4997 0.0156 0.1843 Al
0.5003 0.9844 0.8157 Al
0.6846 0.5003 0.5159 Al
0.8312 0.3154 0.8157 Al
0.9844 0.1688 0.4841 Al
0.1628 0.6496 0.8125 Sb
0.3504 0.1628 0.5132 Sb
0.6496 0.8372 0.4868 Sb
0.8372 0.3504 0.1875 Sb
0.1286 0.4873 0.9538 O
0.1367 0.5056 0.2928 O
0.1494 0.2003 0.3496 O
0.1562 0.8633 0.3690 O
0.1586 0.4520 0.6106 O
0.1748 0.1286 0.6413 O
0.2003 0.8506 0.0509 O
0.2128 0.8438 0.7072 O
0.4520 0.8414 0.2934 O
0.4665 0.8252 0.9538 O
0.4873 0.5335 0.3587 O
0.4944 0.7872 0.6310 O
0.5056 0.2128 0.3690 O
0.5127 0.4665 0.6413 O
0.5335 0.1748 0.0462 O
0.5480 0.1586 0.7066 O
0.7872 0.1562 0.2928 O
0.7997 0.1494 0.9491 O
0.8252 0.8714 0.3587 O
0.8414 0.5480 0.3894 O
0.8438 0.1367 0.6310 O
0.8506 0.7997 0.6504 O
0.8633 0.4944 0.7072 O
0.8714 0.5127 0.0462 O
```

The 10 most intense peaks (10 to 90 degrees two-theta), low angle first:
22.26 deg, intensity 73; 23.66 deg, intensity 49; 26.85 deg, intensity 40; 28.24 deg, intensity 100; 36.39 deg, intensity 48; 41.46 deg, intensity 24; 43.48 deg, intensity 29; 48.53 deg, intensity 25; 50.21 deg, intensity 26; 58.71 deg, intensity 32

***

- What is the formula in the second record?
  BaAl4O7

***

Copy entry 2 word for word.
Simulated PXRD pattern of BaAl4O7 for Cu Kα (λ = 1.5418 Å), from DFT lattice parameters and positions (GGA-PBE).
Intensities are scaled so that the largest is 100.

Structural model:
```
BaAl4O7
1.0
13.0278 0.0000 0.0000
0.0000 5.2311 0.0000
0.0000 0.0000 4.9807
Ba Al O
2 8 14
Direct
0.0000 0.1658 0.0000 Ba
0.5000 0.8342 0.5000 Ba
0.1194 0.6782 0.4679 Al
0.2495 0.1755 0.4566 Al
0.2505 0.8245 0.9566 Al
0.3806 0.3218 0.9679 Al
0.6194 0.3218 0.9679 Al
0.7505 0.1755 0.4566 Al
0.7495 0.8245 0.9566 Al
0.8806 0.6782 0.4679 Al
0.0000 0.7868 0.3546 O
0.1331 0.7435 0.8116 O
0.1382 0.3528 0.3971 O
0.2205 0.8665 0.3080 O
0.2795 0.1335 0.8080 O
0.3618 0.6472 0.8971 O
0.3669 0.2565 0.3116 O
0.5000 0.2132 0.8546 O
0.6331 0.2565 0.3116 O
0.6382 0.6472 0.8971 O
0.7205 0.1335 0.8080 O
0.7795 0.8665 0.3080 O
0.8618 0.3528 0.3971 O
0.8669 0.7435 0.8116 O
```

The 10 most intense peaks (10 to 90 degrees two-theta), low angle first:
19.08 deg, intensity 22; 24.68 deg, intensity 24; 25.62 deg, intensity 36; 26.68 deg, intensity 42; 27.25 deg, intensity 58; 28.28 deg, intensity 100; 32.38 deg, intensity 29; 36.07 deg, intensity 24; 41.38 deg, intensity 25; 60.18 deg, intensity 29

***

- What is the formula in the eighth record?
  Ba2AlSb3O8